Calculated PXRD pattern of PmPrHf for Cu Kα, 1.54184 Å, from DFT lattice parameters and positions (PBE).

Main lines, in order of rising 2θ (2θ = 10–80°):
2θ 27.1, rel. 11.5, (1 0 2)
2θ 31.4, rel. 100.0, (1 0 3)
2θ 33.2, rel. 63.9, (1 1 0)
2θ 34.9, rel. 10.3, (0 0 5)
2θ 36.5, rel. 16.6, (1 0 4)
2θ 47.6, rel. 23.4, (2 0 0)
2θ 48.9, rel. 16.0, (1 1 5)
2θ 58.1, rel. 34.9, (2 1 3)
2θ 62.8, rel. 12.4, (1 0 8)
2θ 79.3, rel. 10.5, (3 1 0)

Atomic structure:
a b c (Å): 3.8218 3.8218 12.8482
angles (deg): 90.00 90.00 90.00
Space group P4/nmm (No. 129, origin choice 2)
Unique sites:
Pm 0.2500 0.2500 0.0939
Pr 0.2500 0.2500 0.7059
Hf 0.2500 0.2500 0.4499